Computed powder diffractogram
Compound: TaSbPdO6
Radiation: CuKα
Structure: a DFT-relaxed cell (PBE, Alexandria)
Kinematic intensities with the Lorentz-polarization factor, no thermal factor.

Structure:
```
TaSbPdO6
1.0
5.3337 0.0000 0.0000
-2.6668 4.6191 0.0000
0.0000 0.0000 9.3235
Ta Sb Pd O
2 2 2 12
direct
0.3333 0.6667 0.2500
0.6667 0.3333 0.7500
0.3333 0.6667 0.7500
0.6667 0.3333 0.2500
0.0000 0.0000 0.0000
0.0000 0.0000 0.5000
0.0008 0.3628 0.1350
0.0008 0.6380 0.3650
0.3620 0.3628 0.3650
0.3620 0.9992 0.1350
0.3628 0.0008 0.6350
0.3628 0.3620 0.8650
0.6372 0.6380 0.1350
0.6372 0.9992 0.3650
0.6380 0.0008 0.8650
0.6380 0.6372 0.6350
0.9992 0.3620 0.6350
0.9992 0.6372 0.8650
```

Peak list (8 most intense, 2θ = 5–70°, sorted by position)
- d = 4.662 Å, I 24.0
- d = 3.281 Å, I 100.0
- d = 2.667 Å, I 54.7
- d = 2.315 Å, I 23.4
- d = 2.070 Å, I 26.6
- d = 1.755 Å, I 49.1
- d = 1.635 Å, I 25.8
- d = 1.540 Å, I 18.2

Computed powder diffractogram
Compound: Ac2CdSnGe
Radiation: CuKα
Structure: a DFT-relaxed cell (PBE, Alexandria)
Kinematic intensities with the Lorentz-polarization factor, no thermal factor.

Structure:
```
Ac2CdSnGe
1.0
8.1467 0.0000 0.0000
0.0000 4.8184 0.0000
-0.0045 0.0000 8.3430
Ac Cd Sn Ge
4 2 2 2
direct
0.0005 0.2500 0.2157
0.4992 0.2500 0.2152
0.5008 0.7500 0.7848
0.9995 0.7500 0.7843
0.2507 0.7500 0.4141
0.7493 0.2500 0.5859
0.2503 0.2500 0.6003
0.7497 0.7500 0.3997
0.2498 0.7500 0.0892
0.7502 0.2500 0.9108
```

Peak list (8 most intense, 2θ = 5–70°, sorted by position)
- d = 4.172 Å, I 25.3
- d = 3.154 Å, I 13.8
- d = 2.915 Å, I 100.0
- d = 2.409 Å, I 42.6
- d = 2.037 Å, I 10.4
- d = 1.857 Å, I 22.0
- d = 1.555 Å, I 22.3
- d = 1.471 Å, I 17.9

Computed powder diffractogram
Compound: KRb2CdAg
Radiation: CuKα
Structure: a DFT-relaxed cell (PBE, Alexandria)
Kinematic intensities with the Lorentz-polarization factor, no thermal factor.

Structure:
```
KRb2CdAg
1.0
6.7746 0.0000 0.0000
0.0000 6.7746 0.0000
0.0000 0.0000 6.5069
K Rb Cd Ag
1 2 1 1
direct
0.0000 0.0000 0.0000
0.0000 0.5000 0.5000
0.5000 0.0000 0.5000
0.5000 0.5000 0.0000
0.0000 0.0000 0.5000
```

Peak list (8 most intense, 2θ = 5–70°, sorted by position)
- d = 4.693 Å, I 77.2
- d = 3.858 Å, I 67.2
- d = 3.387 Å, I 100.0
- d = 3.253 Å, I 45.0
- d = 2.747 Å, I 40.6
- d = 2.395 Å, I 38.2
- d = 2.346 Å, I 71.9
- d = 1.929 Å, I 39.0

Computed powder diffractogram
Compound: K3Cd2Ag2
Radiation: CuKα
Structure: a DFT-relaxed cell (PBE, Alexandria)
Kinematic intensities with the Lorentz-polarization factor, no thermal factor.

Structure:
```
K3Cd2Ag2
1.0
6.8247 0.0000 0.0000
0.0000 9.3482 0.0000
0.0000 0.0000 15.0698
K Cd Ag
12 8 8
direct
0.1282 0.1120 0.0993
0.1282 0.1120 0.4007
0.1282 0.3880 0.5993
0.1282 0.3880 0.9007
0.3458 0.7310 0.7500
0.3458 0.7690 0.2500
0.6542 0.2310 0.7500
0.6542 0.2690 0.2500
0.8718 0.6120 0.0993
0.8718 0.6120 0.4007
0.8718 0.8880 0.5993
0.8718 0.8880 0.9007
0.1851 0.0856 0.7500
0.1851 0.4144 0.2500
0.3830 0.7500 0.0000
0.3830 0.7500 0.5000
0.6170 0.2500 0.0000
0.6170 0.2500 0.5000
0.8149 0.5856 0.7500
0.8149 0.9144 0.2500
0.3902 0.0234 0.5863
0.3902 0.0234 0.9137
0.3902 0.4766 0.0863
0.3902 0.4766 0.4137
0.6098 0.5234 0.5863
0.6098 0.5234 0.9137
0.6098 0.9766 0.0863
0.6098 0.9766 0.4137
```

Peak list (8 most intense, 2θ = 5–70°, sorted by position)
- d = 6.825 Å, I 43.5
- d = 5.177 Å, I 51.7
- d = 5.058 Å, I 40.1
- d = 4.456 Å, I 21.0
- d = 3.205 Å, I 21.8
- d = 2.835 Å, I 35.3
- d = 2.700 Å, I 100.0
- d = 2.212 Å, I 38.4

Computed powder diffractogram
Compound: FeCu
Radiation: CuKα
Structure: a DFT-relaxed cell (PBE, Alexandria)
Kinematic intensities with the Lorentz-polarization factor, no thermal factor.

Structure:
```
FeCu
1.0
2.9684 0.0000 0.0000
0.0000 3.9608 0.0000
0.0000 0.0000 8.0454
Fe Cu
4 4
direct
0.0000 0.2500 0.1217
0.0000 0.7500 0.8783
0.5000 0.2500 0.8783
0.5000 0.7500 0.1217
0.0000 0.2500 0.6259
0.0000 0.7500 0.3741
0.5000 0.2500 0.3741
0.5000 0.7500 0.6259
```

Peak list (7 most intense, 2θ = 5–70°, sorted by position)
- d = 8.045 Å, I 0.9
- d = 2.278 Å, I 0.6
- d = 2.045 Å, I 100.0
- d = 2.011 Å, I 23.6
- d = 1.980 Å, I 22.5
- d = 1.484 Å, I 8.2
- d = 1.411 Å, I 13.5

Computed powder diffractogram
Compound: BaPd2Br8
Radiation: CuKα
Structure: a DFT-relaxed cell (PBE, Alexandria)
Kinematic intensities with the Lorentz-polarization factor, no thermal factor.

Structure:
```
BaPd2Br8
1.0
-3.8392 3.8392 6.4706
3.8392 -3.8392 6.4706
3.8392 3.8392 -6.4706
Ba Pd Br
1 2 8
direct
0.0000 0.0000 0.0000
0.2500 0.7500 0.5000
0.7500 0.2500 0.5000
0.0550 0.5323 0.8236
0.2314 0.0550 0.5226
0.2912 0.4677 0.5226
0.4677 0.9450 0.1764
0.5323 0.7088 0.4774
0.7088 0.2314 0.1764
0.7686 0.2912 0.8236
0.9450 0.7686 0.4774
```

Peak list (8 most intense, 2θ = 5–70°, sorted by position)
- d = 5.429 Å, I 41.2
- d = 4.159 Å, I 67.9
- d = 3.319 Å, I 100.0
- d = 2.687 Å, I 63.9
- d = 2.474 Å, I 62.3
- d = 2.273 Å, I 37.9
- d = 1.942 Å, I 25.8
- d = 1.651 Å, I 23.0